Nd8Os2Pd: computed powder XRD pattern (λ = 1.5418 Å (Cu Kα)), based on DFT lattice parameters and positions (GGA-PBE).
Intensities are scaled so that the largest is 100.

Structural model:
```
Nd8Os2Pd
1.0
4.286 -6.466 0.000
4.286 6.466 0.000
-2.051 0.000 5.916
Nd Os Pd
8 2 1
Direct
0.000 0.000 0.000 Nd
0.022 0.287 0.596 Nd
0.150 0.584 0.195 Nd
0.287 0.022 0.596 Nd
0.442 0.707 0.801 Nd
0.584 0.150 0.195 Nd
0.707 0.442 0.801 Nd
0.730 0.730 0.394 Nd
0.053 0.674 0.698 Os
0.674 0.053 0.698 Os
0.363 0.363 0.038 Pd
```

The 10 most intense peaks (2θ from 10° to 90°), by angle:
2θ (°)  d [Å]  I (rel.)
14.98  5.916  52
29.81  2.998  100
31.53  2.837  67
32.37  2.766  77
33.31  2.690  64
34.08  2.631  48
35.53  2.527  49
38.14  2.360  70
39.38  2.288  41
52.17  1.753  48

Ce2SnHPt6: computed powder XRD pattern (λ = 1.5418 Å (Cu Kα)), based on DFT lattice parameters and positions (GGA-PBE).
Intensities are scaled so that the largest is 100.

Structural model:
```
Ce2SnHPt6
1.0
4.571 -4.649 0.000
4.571 4.649 0.000
-3.563 0.000 4.468
Ce Sn H Pt
2 1 1 6
Direct
0.227 0.773 0.000 Ce
0.773 0.227 0.000 Ce
0.000 0.000 0.500 Sn
0.500 0.500 0.500 H
0.282 0.718 0.500 Pt
0.304 0.304 0.056 Pt
0.306 0.306 0.557 Pt
0.694 0.694 0.443 Pt
0.696 0.696 0.944 Pt
0.718 0.282 0.500 Pt
```

The 10 most intense peaks (2θ from 10° to 90°), by angle:
2θ (°)  d [Å]  I (rel.)
31.57  2.834  100
32.88  2.724  15
36.93  2.434  89
38.74  2.324  47
39.02  2.308  26
40.42  2.232  82
41.69  2.167  17
48.17  1.889  21
57.22  1.610  47
78.63  1.217  23

MgTl2In2: computed powder XRD pattern (λ = 1.5418 Å (Cu Kα)), based on DFT lattice parameters and positions (GGA-PBE).
Intensities are scaled so that the largest is 100.

Structural model:
```
MgTl2In2
1.0
7.816 0.000 0.000
0.000 7.816 0.000
0.000 0.000 4.740
Mg Tl In
2 4 4
Direct
0.000 0.000 0.000 Mg
0.500 0.500 0.000 Mg
0.168 0.332 0.500 Tl
0.332 0.832 0.500 Tl
0.668 0.168 0.500 Tl
0.832 0.668 0.500 Tl
0.139 0.639 0.000 In
0.361 0.139 0.000 In
0.639 0.861 0.000 In
0.861 0.361 0.000 In
```

The 10 most intense peaks (2θ from 10° to 90°), by angle:
2θ (°)  d [Å]  I (rel.)
16.04  5.527  16
22.75  3.908  12
31.81  2.813  100
36.35  2.472  19
37.97  2.370  15
49.47  1.842  10
51.95  1.760  15
53.57  1.711  13
64.75  1.440  13
67.49  1.388  13

Fe4Co: computed powder XRD pattern (λ = 1.5418 Å (Cu Kα)), based on DFT lattice parameters and positions (GGA-PBE).
Intensities are scaled so that the largest is 100.

Structural model:
```
Fe4Co
1.0
6.368 0.000 0.000
0.000 6.368 0.000
0.000 0.000 2.857
Fe Co
8 2
Direct
0.099 0.702 0.000 Fe
0.202 0.401 0.500 Fe
0.298 0.099 0.000 Fe
0.401 0.798 0.500 Fe
0.599 0.202 0.500 Fe
0.702 0.901 0.000 Fe
0.798 0.599 0.500 Fe
0.901 0.298 0.000 Fe
0.000 0.000 0.500 Co
0.500 0.500 0.000 Co
```

The 5 most intense peaks (2θ from 10° to 90°), by angle:
2θ (°)  d [Å]  I (rel.)
44.97  2.016  100
65.32  1.429  5
65.56  1.424  10
82.85  1.165  10
83.01  1.163  19

Li2GaRh2O6: computed powder XRD pattern (λ = 1.5418 Å (Cu Kα)), based on DFT lattice parameters and positions (GGA-PBE).
Intensities are scaled so that the largest is 100.

Structural model:
```
Li2GaRh2O6
1.0
2.671 -4.412 0.000
2.671 4.412 0.000
-1.853 0.000 4.930
Li Ga Rh O
2 1 2 6
Direct
0.175 0.825 0.000 Li
0.825 0.175 0.000 Li
0.000 0.000 0.500 Ga
0.342 0.658 0.500 Rh
0.658 0.342 0.500 Rh
0.066 0.410 0.713 O
0.225 0.225 0.272 O
0.410 0.066 0.713 O
0.590 0.934 0.287 O
0.775 0.775 0.728 O
0.934 0.590 0.287 O
```

The 10 most intense peaks (2θ from 10° to 90°), by angle:
2θ (°)  d [Å]  I (rel.)
17.99  4.930  100
34.02  2.635  15
35.41  2.535  31
36.86  2.438  14
41.41  2.180  19
42.92  2.107  35
46.58  1.950  11
56.52  1.628  10
60.81  1.523  11
61.53  1.507  10

Pm3Nd6Tm: computed powder XRD pattern (λ = 1.5418 Å (Cu Kα)), based on DFT lattice parameters and positions (GGA-PBE).
Intensities are scaled so that the largest is 100.

Structural model:
```
Pm3Nd6Tm
1.0
5.503 -9.691 0.000
5.503 9.691 0.000
0.000 0.000 6.510
Pm Nd Tm
6 12 2
Direct
0.115 0.885 0.500 Pm
0.211 0.443 0.116 Pm
0.443 0.211 0.616 Pm
0.557 0.789 0.116 Pm
0.789 0.557 0.616 Pm
0.885 0.115 0.000 Pm
0.023 0.441 0.716 Nd
0.128 0.213 0.523 Nd
0.213 0.128 0.023 Nd
0.222 0.778 0.927 Nd
0.441 0.023 0.216 Nd
0.465 0.535 0.712 Nd
0.535 0.465 0.212 Nd
0.559 0.977 0.716 Nd
0.778 0.222 0.427 Nd
0.787 0.872 0.523 Nd
0.872 0.787 0.023 Nd
0.977 0.559 0.216 Nd
0.308 0.692 0.466 Tm
0.692 0.308 0.966 Tm
```

The 10 most intense peaks (2θ from 10° to 90°), by angle:
2θ (°)  d [Å]  I (rel.)
27.98  3.189  38
28.11  3.175  56
28.30  3.154  45
28.97  3.083  28
30.90  2.894  100
31.22  2.865  51
31.94  2.802  23
33.29  2.691  65
33.63  2.665  28
59.67  1.550  22

AlPdF: computed powder XRD pattern (λ = 1.5418 Å (Cu Kα)), based on DFT lattice parameters and positions (GGA-PBE).
Intensities are scaled so that the largest is 100.

Structural model:
```
AlPdF
1.0
3.647 0.000 0.000
0.000 12.005 0.000
0.000 0.000 4.326
Al Pd F
4 4 4
Direct
0.000 0.118 0.250 Al
0.000 0.882 0.750 Al
0.500 0.382 0.750 Al
0.500 0.618 0.250 Al
0.000 0.248 0.750 Pd
0.000 0.752 0.250 Pd
0.500 0.252 0.250 Pd
0.500 0.748 0.750 Pd
0.155 0.000 0.500 F
0.345 0.500 0.000 F
0.655 0.500 0.500 F
0.845 0.000 0.000 F
```

The 10 most intense peaks (2θ from 10° to 90°), by angle:
2θ (°)  d [Å]  I (rel.)
14.76  6.002  100
29.77  3.001  26
32.98  2.716  65
39.39  2.288  81
41.76  2.163  14
44.53  2.035  26
50.14  1.819  35
52.44  1.745  13
63.32  1.469  11
74.65  1.271  12

Pm3HgRh2: computed powder XRD pattern (λ = 1.5418 Å (Cu Kα)), based on DFT lattice parameters and positions (GGA-PBE).
Intensities are scaled so that the largest is 100.

Structural model:
```
Pm3HgRh2
1.0
3.587 0.000 0.000
0.000 3.587 0.000
0.000 0.000 11.097
Pm Hg Rh
3 1 2
Direct
0.000 0.000 0.000 Pm
0.000 0.000 0.307 Pm
0.000 0.000 0.693 Pm
0.500 0.500 0.500 Hg
0.500 0.500 0.160 Rh
0.500 0.500 0.840 Rh
```

The 10 most intense peaks (2θ from 10° to 90°), by angle:
2θ (°)  d [Å]  I (rel.)
29.66  3.012  8
34.84  2.575  100
35.39  2.536  52
49.27  1.850  7
50.92  1.793  19
62.11  1.494  14
63.18  1.472  36
73.56  1.288  9
85.32  1.138  8
85.64  1.134  9